Record 1
This entry pairs a crystal structure of BiRuBr2 with its computed powder X-ray diffraction pattern. Radiation: CuKα. Structure: a DFT-relaxed cell (GGA-PBE, Alexandria).

Structure:
```
4
Lattice="1.8135 1.0470 10.8485 -1.8135 1.0470 10.8485 0.0000 -2.0941 10.8485" Properties=species:S:1:pos:R:3 pbc="T T T"
Bi 0.0000 0.0000 0.0000
Ru 0.0000 0.0000 16.2728
Br 0.0000 0.0000 4.0201
Br 0.0000 0.0000 28.5255
```

Largest 10 diffraction maxima, sorted by position, 2θ from 15° to 90°:
16.34°, rel. 93.6; 24.62°, rel. 20.6; 28.55°, rel. 40.0; 28.95°, rel. 78.2; 34.46°, rel. 22.7; 36.13°, rel. 100.0; 39.89°, rel. 36.0; 50.31°, rel. 38.9; 53.26°, rel. 26.9; 53.68°, rel. 31.8


Record 2
This entry pairs a crystal structure of Cs2Rb3Au2Cl2 with its computed powder X-ray diffraction pattern. Radiation: CuKα. Structure: a DFT-relaxed cell (GGA-PBE, Alexandria).

Structure:
```
9
Lattice="-3.2795 3.2795 9.4580 3.2795 -3.2795 9.4580 3.2795 3.2795 -9.4580" Properties=species:S:1:pos:R:3 pbc="T T T"
Cs 0.0000 0.0000 1.8906
Cs 0.0000 0.0000 17.0254
Rb 3.2795 0.0000 4.7290
Rb 0.0000 0.0000 9.4580
Rb 0.0000 3.2795 4.7290
Au 0.0000 0.0000 5.6290
Au 0.0000 0.0000 13.2870
Cl 3.2795 0.0000 0.0000
Cl 0.0000 3.2795 0.0000
```

Largest 10 diffraction maxima, sorted by position, 2θ from 15° to 90°:
19.14°, rel. 26.5; 27.20°, rel. 100.0; 38.84°, rel. 59.2; 48.07°, rel. 13.2; 52.23°, rel. 11.3; 56.10°, rel. 25.4; 63.43°, rel. 21.8; 66.95°, rel. 10.9; 76.95°, rel. 13.4; 83.39°, rel. 14.7


Record 3
This entry pairs a crystal structure of K2In5Ag4 with its computed powder X-ray diffraction pattern. Radiation: CuKα. Structure: a DFT-relaxed cell (GGA-PBE, Alexandria).

Structure:
```
11
Lattice="6.7139 -3.1339 0.0000 6.7139 3.1339 0.0000 -6.4722 0.0000 6.7196" Properties=species:S:1:pos:R:3 pbc="T T T"
K 1.3687 0.0000 1.3280
K 5.5870 0.0000 5.3915
In 4.6046 1.5596 2.1903
In 2.3511 1.5596 4.5293
In 6.7139 0.0000 0.0000
In 4.6046 -1.5596 2.1903
In 2.3511 -1.5596 4.5293
Ag -0.4321 0.0000 3.9893
Ag -2.5129 0.0000 6.1509
Ag 9.4686 0.0000 0.5687
Ag 7.3878 0.0000 2.7303
```

Largest 10 diffraction maxima, sorted by position, 2θ from 15° to 90°:
17.04°, rel. 38.1; 30.19°, rel. 46.4; 31.50°, rel. 31.1; 32.13°, rel. 18.6; 34.09°, rel. 70.8; 37.22°, rel. 100.0; 39.33°, rel. 34.3; 40.29°, rel. 17.8; 56.36°, rel. 15.9; 70.33°, rel. 14.7


Record 4
This entry pairs a crystal structure of Nd3PuHg6 with its computed powder X-ray diffraction pattern. Radiation: CuKα. Structure: a DFT-relaxed cell (GGA-PBE, Alexandria).

Structure:
```
20
Lattice="9.3669 0.0000 0.0000 0.0000 5.2606 0.0000 -3.8529 0.0000 10.9088" Properties=species:S:1:pos:R:3 pbc="T T T"
Nd -1.2562 1.3152 4.1218
Nd 0.5547 3.9455 2.3311
Nd -1.1774 1.3152 10.7118
Nd 6.6915 3.9455 0.1969
Nd 4.9594 1.3152 8.5777
Nd 6.7702 3.9455 6.7869
Pu 1.9658 1.3152 6.3843
Pu 3.5482 3.9455 4.5244
Hg -3.2775 3.9455 10.0386
Hg -1.0617 1.3152 7.4986
Hg 0.3411 3.9455 5.5595
Hg 2.1759 1.3152 3.1371
Hg 0.1236 3.9455 8.9528
Hg 3.6391 3.9455 1.3371
Hg 1.8750 1.3152 9.5717
Hg 5.3904 1.3152 1.9560
Hg 3.3381 3.9455 7.7717
Hg 5.1729 1.3152 5.3493
Hg 6.5758 3.9455 3.4102
Hg 8.7916 1.3152 0.8701
```

Largest 10 diffraction maxima, sorted by position, 2θ from 15° to 90°:
32.33°, rel. 30.4; 33.43°, rel. 66.3; 34.15°, rel. 100.0; 36.68°, rel. 12.8; 47.69°, rel. 20.9; 49.42°, rel. 11.2; 59.34°, rel. 12.3; 60.60°, rel. 12.4; 61.08°, rel. 12.3; 61.40°, rel. 11.8


Record 5
This entry pairs a crystal structure of Na5ZnAu2 with its computed powder X-ray diffraction pattern. Radiation: CuKα. Structure: a DFT-relaxed cell (GGA-PBE, Alexandria).

Structure:
```
16
Lattice="5.1163 0.0000 0.0000 -2.5582 4.4309 0.0000 0.0000 0.0000 18.8177" Properties=species:S:1:pos:R:3 pbc="T T T"
Na 0.0000 0.0000 2.7319
Na 0.0000 0.0000 6.6770
Na 0.0000 0.0000 12.1408
Na 0.0000 0.0000 16.0858
Na 0.0000 2.9539 0.9059
Na 0.0000 2.9539 4.7044
Na 0.0000 2.9539 8.5029
Na 2.5582 1.4770 10.3148
Na 2.5582 1.4770 14.1133
Na 2.5582 1.4770 17.9118
Zn 0.0000 2.9539 14.1133
Zn 2.5582 1.4770 4.7044
Au 0.0000 2.9539 11.5530
Au 0.0000 2.9539 16.6736
Au 2.5582 1.4770 2.1441
Au 2.5582 1.4770 7.2647
```

Largest 10 diffraction maxima, sorted by position, 2θ from 15° to 90°:
18.86°, rel. 30.2; 20.04°, rel. 40.8; 20.59°, rel. 100.0; 24.60°, rel. 46.1; 35.07°, rel. 85.3; 39.20°, rel. 51.1; 40.12°, rel. 28.3; 52.88°, rel. 24.7; 53.61°, rel. 20.6; 65.69°, rel. 22.3


Record 6
This entry pairs a crystal structure of Pr2NdTm5 with its computed powder X-ray diffraction pattern. Radiation: CuKα. Structure: a DFT-relaxed cell (GGA-PBE, Alexandria).

Structure:
```
16
Lattice="2.7966 -5.8923 0.0000 2.7966 5.8923 0.0000 0.0000 0.0000 16.0023" Properties=species:S:1:pos:R:3 pbc="T T T"
Pr 2.7966 3.3168 10.0074
Pr 2.7966 3.3168 13.9960
Pr 2.7966 -3.3168 2.0063
Pr 2.7966 -3.3168 5.9949
Nd 2.7966 2.8942 4.0006
Nd 2.7966 -2.8942 12.0017
Tm 2.7966 4.9217 1.3581
Tm 2.7966 4.9217 6.6431
Tm 2.7966 1.3344 0.8365
Tm 2.7966 1.3344 7.1646
Tm 2.7966 0.4692 12.0017
Tm 2.7966 -0.4692 4.0006
Tm 2.7966 -1.3344 8.8377
Tm 2.7966 -1.3344 15.1658
Tm 2.7966 -4.9217 9.3592
Tm 2.7966 -4.9217 14.6442
```

Largest 10 diffraction maxima, sorted by position, 2θ from 15° to 90°:
28.46°, rel. 27.9; 30.86°, rel. 10.1; 32.00°, rel. 42.3; 32.38°, rel. 16.4; 32.52°, rel. 100.0; 33.13°, rel. 34.2; 33.60°, rel. 13.9; 46.19°, rel. 17.2; 47.08°, rel. 10.9; 57.36°, rel. 25.2


Record 7
This entry pairs a crystal structure of Ga2GeIr2 with its computed powder X-ray diffraction pattern. Radiation: CuKα. Structure: a DFT-relaxed cell (GGA-PBE, Alexandria).

Structure:
```
5
Lattice="4.1229 0.0000 0.0000 -2.0615 3.5706 0.0000 0.0000 0.0000 5.5592" Properties=species:S:1:pos:R:3 pbc="T T T"
Ga 0.0000 2.3804 0.6978
Ga 2.0615 1.1902 4.8614
Ge 0.0000 0.0000 2.7796
Ir 0.0000 2.3804 3.7000
Ir 2.0615 1.1902 1.8592
```

Largest 10 diffraction maxima, sorted by position, 2θ from 15° to 90°:
15.94°, rel. 23.3; 24.94°, rel. 32.5; 29.74°, rel. 45.1; 41.16°, rel. 100.0; 43.92°, rel. 75.3; 55.90°, rel. 10.7; 61.76°, rel. 30.2; 73.06°, rel. 13.0; 78.84°, rel. 29.8; 80.74°, rel. 12.7


Record 8
This entry pairs a crystal structure of VSnH with its computed powder X-ray diffraction pattern. Radiation: CuKα. Structure: a DFT-relaxed cell (GGA-PBE, Alexandria).

Structure:
```
3
Lattice="3.2275 0.0000 0.0000 -1.6138 2.7951 0.0000 0.0000 0.0000 4.3212" Properties=species:S:1:pos:R:3 pbc="T T T"
V 0.0000 0.0000 0.0000
Sn 1.6138 0.9317 2.1606
H 0.0000 1.8634 0.0000
```

Largest 10 diffraction maxima, sorted by position, 2θ from 15° to 90°:
20.55°, rel. 15.2; 32.02°, rel. 37.7; 38.35°, rel. 100.0; 41.81°, rel. 16.6; 53.61°, rel. 18.5; 57.07°, rel. 19.7; 61.32°, rel. 6.4; 70.87°, rel. 16.6; 73.20°, rel. 18.9; 74.04°, rel. 14.7